Theoretical X-ray diffraction stick pattern
Compound: K3TeS4
Radiation: Cu Kα
Structure: the PBE geometry in the Materials Project
Neutral-atom scattering factors, no anomalous dispersion.

Principal peaks in the range 10° ≤ 2θ ≤ 90°, by angle:
| 2θ/deg | d/Å | intensity |
| --- | --- | --- |
| 13.61 | 6.505 | 29 |
| 16.69 | 5.312 | 35 |
| 19.30 | 4.600 | 27 |
| 23.69 | 3.756 | 21 |
| 25.62 | 3.477 | 22 |
| 27.42 | 3.253 | 100 |
| 39.17 | 2.300 | 56 |
| 42.85 | 2.111 | 22 |
| 47.39 | 1.918 | 20 |
| 48.47 | 1.878 | 15 |

Structural model:
```
K3TeS4
1.0
-6.5054 6.5054 6.5054
6.5054 -6.5054 6.5054
6.5054 6.5054 -6.5054
K Te S
12 4 16
direct
0.0000 0.2508 0.2508
0.0000 0.7492 0.7492
0.2500 0.5000 0.7500
0.2500 0.7500 0.5000
0.2508 0.0000 0.2508
0.2508 0.2508 0.0000
0.5000 0.2500 0.7500
0.5000 0.7500 0.2500
0.7492 0.0000 0.7492
0.7492 0.7492 0.0000
0.7500 0.2500 0.5000
0.7500 0.5000 0.2500
0.0000 0.0000 0.4528
0.0000 0.4528 0.0000
0.4528 0.0000 0.0000
0.5472 0.5472 0.5472
0.0000 0.0000 0.0000
0.0000 0.2970 0.7973
0.0000 0.5000 0.5000
0.0000 0.7973 0.2970
0.2027 0.2027 0.4997
0.2027 0.4997 0.2027
0.2970 0.0000 0.7973
0.2970 0.7973 0.0000
0.5000 0.0000 0.5000
0.4997 0.2027 0.2027
0.5000 0.5000 0.0000
0.5003 0.7030 0.7030
0.7030 0.5003 0.7030
0.7030 0.7030 0.5003
0.7973 0.0000 0.2970
0.7973 0.2970 0.0000
```